(1)
Theoretical PXRD pattern
Compound: PrGa3Cu3
Radiation: a wavelength of 1.5418 Å
Structure: the PBE geometry in Alexandria
Intensities are scaled so that the largest is 100.

Peak list (12 most intense, 15 to 90 degrees two-theta, low angle first)
- 3.484 Å, 25.57 deg, rel. 16
- 2.972 Å, 30.07 deg, rel. 51
- 2.464 Å, 36.46 deg, rel. 99
- 2.261 Å, 39.87 deg, rel. 100
- 1.897 Å, 47.97 deg, rel. 49
- 1.743 Å, 52.51 deg, rel. 33
- 1.558 Å, 59.30 deg, rel. 36
- 1.504 Å, 61.69 deg, rel. 12
- 1.283 Å, 73.85 deg, rel. 21
- 1.204 Å, 79.59 deg, rel. 14
- 1.162 Å, 83.12 deg, rel. 13
- 1.161 Å, 83.22 deg, rel. 11

Atomic structure:
abc: 6.9658 6.9658 6.9658
angles: 60.07 60.07 60.07
Sites, in units of the cell vectors:
Pr 0.1196 0.1196 0.1196
Pr 0.8804 0.8804 0.8804
Ga 0.1631 0.5688 0.5688
Ga 0.4312 0.4312 0.8369
Ga 0.4312 0.8369 0.4312
Ga 0.5688 0.1631 0.5688
Ga 0.5688 0.5688 0.1631
Ga 0.8369 0.4312 0.4312
Cu 0.1889 0.1889 0.5674
Cu 0.1889 0.5674 0.1889
Cu 0.4326 0.8111 0.8111
Cu 0.5674 0.1889 0.1889
Cu 0.8111 0.4326 0.8111
Cu 0.8111 0.8111 0.4326

(2)
Theoretical PXRD pattern
Compound: Pr2Ga3Cu2
Radiation: a wavelength of 1.5418 Å
Structure: the PBE geometry in Alexandria
Intensities are scaled so that the largest is 100.

Peak list (12 most intense, 15 to 90 degrees two-theta, low angle first)
- 3.195 Å, 27.93 deg, rel. 16
- 2.848 Å, 31.41 deg, rel. 15
- 2.718 Å, 32.96 deg, rel. 77
- 2.637 Å, 34.00 deg, rel. 100
- 2.513 Å, 35.72 deg, rel. 13
- 2.335 Å, 38.56 deg, rel. 21
- 2.191 Å, 41.20 deg, rel. 37
- 2.100 Å, 43.08 deg, rel. 37
- 1.656 Å, 55.49 deg, rel. 18
- 1.598 Å, 57.70 deg, rel. 12
- 1.516 Å, 61.13 deg, rel. 25
- 1.263 Å, 75.20 deg, rel. 13

Atomic structure:
abc: 9.5933 9.5933 7.0520
angles: 90.00 90.00 153.60
Sites, in units of the cell vectors:
Pr 0.0566 0.9434 0.7500
Pr 0.1615 0.8385 0.2500
Pr 0.8385 0.1615 0.7500
Pr 0.9434 0.0566 0.2500
Ga 0.2241 0.7759 0.7500
Ga 0.4386 0.5614 0.5713
Ga 0.4386 0.5614 0.9287
Ga 0.5614 0.4386 0.0713
Ga 0.5614 0.4386 0.4287
Ga 0.7759 0.2241 0.2500
Cu 0.3130 0.6870 0.0668
Cu 0.3130 0.6870 0.4332
Cu 0.6870 0.3130 0.5668
Cu 0.6870 0.3130 0.9332